(1)
Structure and simulated X-ray diffraction stick pattern of BaIO5 (the PBE geometry in Alexandria; Cu Kα).

The 10 most intense peaks (15 to 90 degrees two-theta), by intensity:
2θ 23.55, d = 3.777 Å, I = 100, hkl 0 0 2
2θ 24.42, d = 3.645 Å, I = 92, hkl -1 1 1
2θ 21.46, d = 4.141 Å, I = 84, hkl 1 1 1
2θ 26.98, d = 3.305 Å, I = 76, hkl 1 -1 1
2θ 33.03, d = 2.712 Å, I = 66, hkl 0 3 1
2θ 28.73, d = 3.107 Å, I = 60, hkl 1 1 -1
2θ 25.45, d = 3.499 Å, I = 48, hkl 0 2 2
2θ 30.59, d = 2.923 Å, I = 47, hkl 1 2 0
2θ 34.14, d = 2.626 Å, I = 43, hkl -1 2 2
2θ 29.78, d = 3.000 Å, I = 41, hkl 1 2 2

Crystal structure
Cell lengths 4.699, 8.220, 8.464 Å; angles 64.13, 81.32, 85.14 degrees
Space group P-1 (No. 2)
Symmetry-distinct sites (fractional):
Ba: 0.199 0.431 0.232 (multiplicity 2)
I: 0.274 0.921 0.796 (multiplicity 2)
O: 0.191 0.264 0.793 (multiplicity 2)
O: 0.227 0.647 0.449 (multiplicity 2)
O: 0.253 0.652 0.883 (multiplicity 2)
O: 0.370 0.310 0.867 (multiplicity 2)
O: 0.434 0.716 0.482 (multiplicity 2)



(2)
Structure and simulated X-ray diffraction stick pattern of Ba5Re3IO15 (the PBE geometry in Alexandria; Cu Kα).

The 10 most intense peaks (15 to 90 degrees two-theta), by intensity:
2θ 27.39, d = 3.256 Å, I = 100, hkl 3 0 0
2θ 26.62, d = 3.349 Å, I = 37, hkl 2 1 1
2θ 35.00, d = 2.564 Å, I = 16, hkl 3 1 1
2θ 39.13, d = 2.302 Å, I = 15, hkl 2 2 2
2θ 41.87, d = 2.158 Å, I = 15, hkl 2 1 3
2θ 48.43, d = 1.880 Å, I = 12, hkl 4 1 2
2θ 50.80, d = 1.797 Å, I = 11, hkl 4 2 1
2θ 22.26, d = 3.993 Å, I = 10, hkl 0 0 2
2θ 19.28, d = 4.604 Å, I = 9, hkl 1 1 1
2θ 47.93, d = 1.898 Å, I = 9, hkl 3 1 3

Crystal structure
Cell lengths 11.2698, 11.2698, 7.9870 Å; angles 90.00, 90.00, 120.00 degrees
Space group P6_3cm (No. 185)
Symmetry-distinct sites (fractional):
Ba: 0.0000 0.2748 0.0000 (multiplicity 6)
Ba: 0.3333 0.6667 0.2581 (multiplicity 4)
Re: 0.0000 0.3929 0.5550 (multiplicity 6)
I: 0.0000 0.0000 0.2373 (multiplicity 2)
O: 0.0000 0.3024 0.3755 (multiplicity 6)
O: 0.1304 0.3914 0.6943 (multiplicity 12)
O: 0.1299 0.5527 0.0161 (multiplicity 12)



(3)
Structure and simulated X-ray diffraction stick pattern of BaTlIO (the PBE geometry in Alexandria; Cu Kα).

The 10 most intense peaks (15 to 90 degrees two-theta), by intensity:
2θ 25.76, d = 3.458 Å, I = 100, hkl 0 1 1
2θ 31.79, d = 2.815 Å, I = 51, hkl 1 0 2
2θ 41.19, d = 2.192 Å, I = 30, hkl 1 1 0
2θ 53.09, d = 1.725 Å, I = 22, hkl 1 1 3
2θ 49.22, d = 1.851 Å, I = 17, hkl 2 0 1
2θ 32.00, d = 2.797 Å, I = 16, hkl 0 0 3
2θ 49.66, d = 1.836 Å, I = 15, hkl 0 1 4
2θ 66.07, d = 1.414 Å, I = 14, hkl 1 2 1
2θ 52.95, d = 1.729 Å, I = 12, hkl 0 2 2
2θ 69.21, d = 1.358 Å, I = 11, hkl 2 1 2

Crystal structure
Cell lengths 4.3831, 4.3831, 8.3907 Å; angles 90.00, 90.00, 120.00 degrees
Space group P3m1 (No. 156)
Symmetry-distinct sites (fractional):
Ba: 0.0000 0.0000 0.0000 (multiplicity 1)
Tl: 0.6667 0.3333 0.6102 (multiplicity 1)
I: 0.3333 0.6667 0.3071 (multiplicity 1)
O: 0.6667 0.3333 0.8932 (multiplicity 1)